For DyHoPdRu, DFT lattice parameters and positions (PBE) gives the theoretical X-ray diffraction stick pattern in this record (CuKα).

abc: 3.440 3.440 6.910
angles: 90.00 90.00 90.00
Element x y z (fractional)
1 Dy 0.000 0.000 0.000
2 Ho 0.000 0.000 0.520
3 Pd 0.500 0.500 0.262
4 Ru 0.500 0.500 0.759

Most intense lines, 2θ = 5–70°, by angle:
2θ (°), I/Imax
25.79, 2
25.90, 3
36.90, 100
45.61, 2
53.01, 6
53.25, 12
59.92, 1
60.11, 1
66.37, 11
66.53, 23


For Na12ZnBi7, DFT lattice parameters and positions (PBE) gives the theoretical X-ray diffraction stick pattern in this record (CuKα).

abc: 8.841 8.841 8.841
angles: 94.90 94.90 94.90
Element x y z (fractional)
1 Na 0.064 0.075 0.344
2 Na 0.075 0.344 0.064
3 Na 0.259 0.719 0.693
4 Na 0.281 0.307 0.741
5 Na 0.307 0.741 0.281
6 Na 0.344 0.064 0.075
7 Na 0.656 0.936 0.925
8 Na 0.693 0.259 0.719
9 Na 0.719 0.693 0.259
10 Na 0.741 0.281 0.307
11 Na 0.925 0.656 0.936
12 Na 0.936 0.925 0.656
13 Zn 0.500 0.500 0.500
14 Bi 0.000 0.000 0.000
15 Bi 0.137 0.442 0.416
16 Bi 0.416 0.137 0.442
17 Bi 0.442 0.416 0.137
18 Bi 0.558 0.584 0.863
19 Bi 0.584 0.863 0.558
20 Bi 0.863 0.558 0.584

Most intense lines, 2θ = 5–70°, by angle:
2θ (°), I/Imax
10.09, 35
13.59, 43
16.96, 39
19.09, 41
20.25, 33
29.25, 56
30.14, 25
31.34, 100
38.67, 54
41.59, 24


For SnH8N2F6, DFT lattice parameters and positions (PBE) gives the theoretical X-ray diffraction stick pattern in this record (CuKα).

abc: 6.198 6.198 4.790
angles: 90.00 90.00 120.00
Element x y z (fractional)
1 Sn 0.000 0.000 0.000
2 H 0.243 0.487 0.593
3 H 0.243 0.757 0.593
4 H 0.333 0.667 0.885
5 H 0.487 0.243 0.407
6 H 0.513 0.757 0.593
7 H 0.667 0.333 0.115
8 H 0.757 0.243 0.407
9 H 0.757 0.513 0.407
10 N 0.333 0.667 0.670
11 N 0.667 0.333 0.330
12 F 0.155 0.310 0.234
13 F 0.155 0.845 0.234
14 F 0.310 0.155 0.766
15 F 0.690 0.845 0.234
16 F 0.845 0.155 0.766
17 F 0.845 0.690 0.766

Most intense lines, 2θ = 5–70°, by angle:
2θ (°), I/Imax
16.51, 100
18.52, 18
24.91, 78
28.81, 21
34.47, 21
38.45, 42
48.01, 16
48.74, 24
51.10, 24
59.70, 25


For LiCe2Ge3Rh4, DFT lattice parameters and positions (PBE) gives the theoretical X-ray diffraction stick pattern in this record (CuKα).

abc: 4.105 4.105 10.658
angles: 90.00 90.00 90.00
Element x y z (fractional)
1 Li 0.000 0.000 0.000
2 Ce 0.000 0.500 0.756
3 Ce 0.500 0.000 0.244
4 Ge 0.000 0.500 0.372
5 Ge 0.500 0.000 0.628
6 Ge 0.500 0.500 0.000
7 Rh 0.000 0.000 0.500
8 Rh 0.000 0.500 0.141
9 Rh 0.500 0.000 0.859
10 Rh 0.500 0.500 0.500

Most intense lines, 2θ = 5–70°, by angle:
2θ (°), I/Imax
8.30, 16
30.80, 23
33.35, 70
35.21, 100
44.12, 60
46.25, 16
48.10, 38
56.42, 32
64.17, 19
67.31, 28


For TbPm2Sm2Y, DFT lattice parameters and positions (PBE) gives the theoretical X-ray diffraction stick pattern in this record (CuKα).

abc: 7.090 5.701 9.876
angles: 90.00 90.00 90.00
Element x y z (fractional)
1 Tb 0.250 0.000 0.159
2 Tb 0.750 0.000 0.841
3 Pm 0.250 0.000 0.828
4 Pm 0.250 0.500 0.340
5 Pm 0.750 0.000 0.172
6 Pm 0.750 0.500 0.660
7 Sm 0.000 0.000 0.500
8 Sm 0.250 0.500 0.676
9 Sm 0.500 0.000 0.500
10 Sm 0.750 0.500 0.324
11 Y 0.000 0.500 0.000
12 Y 0.500 0.500 0.000

Most intense lines, 2θ = 5–70°, by angle:
2θ (°), I/Imax
25.12, 11
31.06, 86
31.38, 100
40.61, 18
44.73, 31
51.57, 8
55.66, 32
55.86, 19
61.62, 29
65.49, 12


For AcPmPr3, DFT lattice parameters and positions (PBE) gives the theoretical X-ray diffraction stick pattern in this record (CuKα).

abc: 6.403 7.110 17.638
angles: 90.00 109.52 90.00
Element x y z (fractional)
1 Ac 0.049 0.062 0.345
2 Ac 0.049 0.438 0.845
3 Ac 0.951 0.562 0.155
4 Ac 0.951 0.938 0.655
5 Pm 0.455 0.630 0.746
6 Pm 0.455 0.870 0.246
7 Pm 0.545 0.130 0.754
8 Pm 0.545 0.370 0.254
9 Pr 0.213 0.553 0.370
10 Pr 0.213 0.947 0.870
11 Pr 0.219 0.166 0.054
12 Pr 0.219 0.334 0.554
13 Pr 0.362 0.662 0.048
14 Pr 0.362 0.838 0.548
15 Pr 0.638 0.162 0.452
16 Pr 0.638 0.338 0.952
17 Pr 0.781 0.666 0.446
18 Pr 0.781 0.834 0.946
19 Pr 0.787 0.053 0.130
20 Pr 0.787 0.447 0.630

Most intense lines, 2θ = 5–70°, by angle:
2θ (°), I/Imax
27.88, 42
28.19, 25
29.32, 18
29.88, 100
30.58, 46
30.68, 64
30.89, 41
31.27, 26
33.17, 16
49.10, 17


For CeDy2Th, DFT lattice parameters and positions (PBE) gives the theoretical X-ray diffraction stick pattern in this record (CuKα).

abc: 3.542 3.542 11.396
angles: 90.00 90.00 120.00
Element x y z (fractional)
1 Ce 0.000 0.000 0.000
2 Dy 0.000 0.000 0.501
3 Dy 0.333 0.667 0.753
4 Th 0.667 0.333 0.245

Most intense lines, 2θ = 5–70°, by angle:
2θ (°), I/Imax
30.17, 58
31.40, 37
33.17, 100
37.69, 32
49.84, 15
51.61, 28
57.03, 22
60.95, 8
61.67, 32
62.73, 16


For CaMg3Tl2, DFT lattice parameters and positions (PBE) gives the theoretical X-ray diffraction stick pattern in this record (CuKα).

abc: 9.109 9.109 7.925
angles: 109.80 109.80 30.57
Element x y z (fractional)
1 Ca 0.115 0.115 0.171
2 Ca 0.885 0.885 0.829
3 Mg 0.072 0.072 0.690
4 Mg 0.304 0.304 0.089
5 Mg 0.367 0.367 0.499
6 Mg 0.633 0.633 0.501
7 Mg 0.696 0.696 0.911
8 Mg 0.928 0.928 0.310
9 Tl 0.240 0.240 0.682
10 Tl 0.484 0.484 0.181
11 Tl 0.516 0.516 0.819
12 Tl 0.760 0.760 0.318

Most intense lines, 2θ = 5–70°, by angle:
2θ (°), I/Imax
19.25, 36
21.64, 100
23.98, 31
24.64, 34
29.38, 43
29.91, 50
31.65, 31
34.84, 35
37.46, 38
39.61, 32


For Sr2Ca4Ac, DFT lattice parameters and positions (PBE) gives the theoretical X-ray diffraction stick pattern in this record (CuKα).

abc: 4.005 4.005 23.081
angles: 90.05 90.05 59.97
Element x y z (fractional)
1 Sr 0.000 0.000 0.000
2 Sr 0.004 0.004 0.706
3 Ca 0.335 0.335 0.853
4 Ca 0.336 0.336 0.560
5 Ca 0.667 0.667 0.146
6 Ca 0.667 0.667 0.424
7 Ac 0.000 0.000 0.285

Most intense lines, 2θ = 5–70°, by angle:
2θ (°), I/Imax
7.66, 53
11.50, 40
25.69, 44
26.85, 35
27.04, 42
28.23, 100
30.07, 72
37.64, 33
45.29, 31
53.55, 37


For Ti4H3, DFT lattice parameters and positions (PBE) gives the theoretical X-ray diffraction stick pattern in this record (CuKα).

abc: 5.682 5.682 5.317
angles: 117.88 117.88 28.95
Element x y z (fractional)
1 Ti 0.120 0.120 0.489
2 Ti 0.375 0.375 0.023
3 Ti 0.625 0.625 0.977
4 Ti 0.880 0.880 0.511
5 H 0.000 0.000 0.000
6 H 0.250 0.250 0.255
7 H 0.750 0.750 0.745

Most intense lines, 2θ = 5–70°, by angle:
2θ (°), I/Imax
35.84, 46
37.33, 52
38.68, 93
40.59, 100
52.72, 31
61.69, 17
64.97, 8
65.75, 9
68.23, 15
69.53, 17


For CrH18I7N6, DFT lattice parameters and positions (PBE) gives the theoretical X-ray diffraction stick pattern in this record (CuKα).

abc: 9.022 9.022 10.046
angles: 119.54 119.54 52.96
Element x y z (fractional)
1 Cr 0.000 0.000 0.000
2 H 0.063 0.267 0.019
3 H 0.092 0.789 0.719
4 H 0.168 0.641 0.815
5 H 0.198 0.198 0.183
6 H 0.211 0.908 0.281
7 H 0.252 0.708 0.132
8 H 0.267 0.063 0.019
9 H 0.292 0.748 0.868
10 H 0.359 0.832 0.185
11 H 0.641 0.168 0.815
12 H 0.708 0.252 0.132
13 H 0.733 0.937 0.981
14 H 0.748 0.292 0.868
15 H 0.789 0.092 0.719
16 H 0.802 0.802 0.817
17 H 0.832 0.359 0.185
18 H 0.908 0.211 0.281
19 H 0.937 0.733 0.981
20 I 0.102 0.102 0.629
21 I 0.315 0.315 0.493
22 I 0.333 0.333 0.950
23 I 0.500 0.500 0.500
24 I 0.667 0.667 0.050
25 I 0.685 0.685 0.507
26 I 0.898 0.898 0.371
27 N 0.147 0.147 0.060
28 N 0.152 0.772 0.831
29 N 0.228 0.848 0.169
30 N 0.772 0.152 0.831
31 N 0.848 0.228 0.169
32 N 0.853 0.853 0.940

Most intense lines, 2θ = 5–70°, by angle:
2θ (°), I/Imax
21.19, 49
22.10, 100
22.38, 86
22.67, 22
28.09, 23
30.80, 77
35.11, 36
38.94, 20
41.33, 20
45.05, 22


For ZrNb4CN4, DFT lattice parameters and positions (PBE) gives the theoretical X-ray diffraction stick pattern in this record (CuKα).

abc: 13.201 13.201 13.201
angles: 13.80 13.80 13.80
Element x y z (fractional)
1 Zr 0.000 0.000 0.000
2 Nb 0.199 0.199 0.199
3 Nb 0.400 0.400 0.400
4 Nb 0.598 0.598 0.598
5 Nb 0.800 0.800 0.800
6 C 0.702 0.702 0.702
7 N 0.101 0.101 0.101
8 N 0.297 0.297 0.297
9 N 0.500 0.500 0.500
10 N 0.898 0.898 0.898

Most intense lines, 2θ = 5–70°, by angle:
2θ (°), I/Imax
6.76, 1
34.30, 30
34.61, 89
40.08, 100
57.77, 32
58.19, 31
68.93, 12
69.31, 24
69.50, 12